[1]
This entry pairs a crystal structure of DyPuAl6 with its calculated PXRD pattern. Radiation: Cu Kα, 1.54184 Å. Structure: a GGA-PBE-relaxed structure.
Intensities are scaled so that the largest is 1000.

Peak list (12 most intense, 15° ≤ 2θ ≤ 90°, low angle first)
(0 1 1), 2θ = 21.09°, I 368
(1 1 0), 2θ = 24.93°, I 1000
(1 1 1), 2θ = 29.16°, I 682
(0 2 0), 2θ = 29.88°, I 213
(0 2 1), 2θ = 33.55°, I 380
(0 1 2), 2θ = 33.72°, I 408
(1 0 2), 2θ = 36.37°, I 561
(1 2 1), 2θ = 39.32°, I 570
(2 0 0), 2θ = 40.46°, I 255
(2 2 1), 2θ = 53.54°, I 204
(2 1 2), 2θ = 53.65°, I 224
(3 0 2), 2θ = 70.92°, I 190

```
data_DyPuAl6
_cell_length_a 4.459
_cell_length_b 5.981
_cell_length_c 5.935
_cell_angle_alpha 90.00
_cell_angle_beta 90.00
_cell_angle_gamma 90.00
_symmetry_space_group_name_H-M 'P m m 2'
_symmetry_Int_Tables_number 25
loop_
_symmetry_equiv_pos_as_xyz
'x,y,z'
'-x,-y,z'
'-x,y,z'
'x,-y,z'
loop_
_atom_site_label
_atom_site_type_symbol
_atom_site_fract_x
_atom_site_fract_y
_atom_site_fract_z
Dy1 Dy 0.000 0.000 0.000
Pu1 Pu 0.500 0.500 0.771
Al1 Al 0.000 0.249 0.529
Al2 Al 0.000 0.500 0.122
Al3 Al 0.500 0.000 0.640
Al4 Al 0.500 0.260 0.250
```

[2]
This entry pairs a crystal structure of KSrMg3 with its calculated PXRD pattern. Radiation: Cu Kα, 1.54184 Å. Structure: a GGA-PBE-relaxed structure.
Intensities are scaled so that the largest is 1000.

Peak list (12 most intense, 15° ≤ 2θ ≤ 90°, low angle first)
(1 1 0), 2θ = 19.17°, I 1000
(2 0 0), 2θ = 27.24°, I 846
(2 1 0), 2θ = 30.53°, I 310
(2 1 1), 2θ = 33.52°, I 483
(2 2 0), 2θ = 38.90°, I 631
(3 0 0), 2θ = 41.36°, I 174
(3 1 0), 2θ = 43.71°, I 222
(2 2 2), 2θ = 48.14°, I 222
(3 2 1), 2θ = 52.27°, I 255
(4 2 0), 2θ = 63.54°, I 279
(4 2 2), 2θ = 70.44°, I 202
(5 1 0), 2θ = 73.78°, I 134

```
data_KSrMg3
_cell_length_a 6.548
_cell_length_b 6.548
_cell_length_c 6.548
_cell_angle_alpha 90.00
_cell_angle_beta 90.00
_cell_angle_gamma 90.00
_symmetry_space_group_name_H-M 'P m -3 m'
_symmetry_Int_Tables_number 221
_symmetry_space_group_name_Hall '-P 4 2 3'
loop_
_atom_site_label
_atom_site_type_symbol
_atom_site_fract_x
_atom_site_fract_y
_atom_site_fract_z
K1 K 0.000 0.000 0.000
Sr1 Sr 0.500 0.500 0.500
Mg1 Mg 0.000 0.500 0.500
```

[3]
This entry pairs a crystal structure of GaSiHAuS with its calculated PXRD pattern. Radiation: Cu Kα, 1.54184 Å. Structure: a GGA-PBE-relaxed structure.
Intensities are scaled so that the largest is 1000.

Peak list (12 most intense, 15° ≤ 2θ ≤ 90°, low angle first)
(0 0 1), 2θ = 15.21°, I 1000
(1 0 0), 2θ = 20.63°, I 161
(1 0 -1), 2θ = 24.99°, I 222
(0 0 2), 2θ = 30.70°, I 459
(0 1 1), 2θ = 30.92°, I 186
(1 1 0), 2θ = 34.03°, I 767
(1 1 -1), 2θ = 36.94°, I 306
(1 1 1), 2θ = 37.99°, I 238
(2 0 0), 2θ = 41.98°, I 182
(1 1 -2), 2θ = 45.59°, I 260
(1 1 2), 2θ = 47.36°, I 291
(2 2 0), 2θ = 71.62°, I 142

```
data_GaSiHAuS
_cell_length_a 4.312
_cell_length_b 3.332
_cell_length_c 5.834
_cell_angle_alpha 90.00
_cell_angle_beta 93.38
_cell_angle_gamma 90.00
_symmetry_space_group_name_H-M 'P 1 m 1'
_symmetry_Int_Tables_number 6
loop_
_symmetry_equiv_pos_as_xyz
'x,y,z'
'x,-y,z'
loop_
_atom_site_label
_atom_site_type_symbol
_atom_site_fract_x
_atom_site_fract_y
_atom_site_fract_z
Ga1 Ga 0.000 0.000 0.000
Si1 Si 0.633 0.500 0.471
H1 H 0.472 0.500 0.713
Au1 Au 0.499 0.500 0.056
S1 S 0.963 0.000 0.548
```

[4]
This entry pairs a crystal structure of Ho12Ir2Pd5 with its calculated PXRD pattern. Radiation: Cu Kα, 1.54184 Å. Structure: a GGA-PBE-relaxed structure.
Intensities are scaled so that the largest is 1000.

Peak list (12 most intense, 15° ≤ 2θ ≤ 90°, low angle first)
(2 0 2), 2θ = 26.37°, I 130
(4 0 -2), 2θ = 26.59°, I 291
(2 2 -2), 2θ = 32.10°, I 1000
(4 2 0), 2θ = 33.13°, I 393
(6 0 0), 2θ = 34.15°, I 535
(2 0 -4), 2θ = 41.21°, I 355
(1 3 -2), 2θ = 41.93°, I 183
(4 2 2), 2θ = 42.80°, I 191
(6 2 -2), 2θ = 43.07°, I 234
(0 4 0), 2θ = 49.05°, I 207
(8 2 -2), 2θ = 52.07°, I 139
(6 4 0), 2θ = 61.12°, I 151

```
data_Ho12Ir2Pd5
_cell_length_a 16.309
_cell_length_b 7.429
_cell_length_c 8.762
_cell_angle_alpha 90.00
_cell_angle_beta 105.04
_cell_angle_gamma 90.00
_symmetry_space_group_name_H-M 'C 1 2/m 1'
_symmetry_Int_Tables_number 12
loop_
_symmetry_equiv_pos_as_xyz
'x,y,z'
'-x,-y,-z'
'-x,y,-z'
'x,-y,z'
'x+1/2,y+1/2,z'
'-x+1/2,-y+1/2,-z'
'-x+1/2,y+1/2,-z'
'x+1/2,-y+1/2,z'
loop_
_atom_site_label
_atom_site_type_symbol
_atom_site_fract_x
_atom_site_fract_y
_atom_site_fract_z
Ho1 Ho 0.003 0.000 0.241
Ho2 Ho 0.012 0.500 0.312
Ho3 Ho 0.150 0.257 0.065
Ho4 Ho 0.170 0.236 0.598
Ir1 Ir 0.000 0.209 0.500
Pd1 Pd 0.000 0.500 0.000
Pd2 Pd 0.191 0.000 0.334
Pd3 Pd 0.203 0.000 0.865
```

[5]
This entry pairs a crystal structure of Li6ScO4 with its calculated PXRD pattern. Radiation: Cu Kα, 1.54184 Å. Structure: a GGA-PBE-relaxed structure.
Intensities are scaled so that the largest is 1000.

Peak list (12 most intense, 15° ≤ 2θ ≤ 90°, low angle first)
(1 1 0), 2θ = 18.27°, I 173
(1 0 1), 2θ = 22.67°, I 1000
(2 0 0), 2θ = 25.95°, I 170
(2 0 1), 2θ = 32.09°, I 417
(2 1 1), 2θ = 34.72°, I 185
(1 1 2), 2θ = 42.14°, I 127
(3 0 1), 2θ = 43.85°, I 339
(4 0 0), 2θ = 53.36°, I 200
(2 2 2), 2θ = 53.82°, I 220
(4 1 1), 2θ = 58.69°, I 104
(2 1 3), 2θ = 66.07°, I 167
(4 3 1), 2θ = 71.46°, I 109

```
data_Li6ScO4
_cell_length_a 6.868
_cell_length_b 6.868
_cell_length_c 4.779
_cell_angle_alpha 90.00
_cell_angle_beta 90.00
_cell_angle_gamma 90.00
_symmetry_space_group_name_H-M 'P 42/n m c'
_symmetry_Int_Tables_number 137
loop_
_symmetry_equiv_pos_as_xyz
'x,y,z'
'-x,-y,-z'
'-y+1/2,x,z+1/2'
'y+1/2,-x,-z+1/2'
'-x+1/2,-y+1/2,z'
'x+1/2,y+1/2,-z'
'y,-x+1/2,z+1/2'
'-y,x+1/2,-z+1/2'
'x+1/2,-y,-z'
'-x+1/2,y,z'
'-y,-x,-z+1/2'
'y,x,z+1/2'
'-x,y+1/2,-z'
'x,-y+1/2,z'
'y+1/2,x+1/2,-z+1/2'
'-y+1/2,-x+1/2,z+1/2'
loop_
_atom_site_label
_atom_site_type_symbol
_atom_site_fract_x
_atom_site_fract_y
_atom_site_fract_z
Li1 Li 0.038 0.538 0.250
Li2 Li 0.250 0.250 0.151
Sc1 Sc 0.250 0.750 0.750
O1 O 0.024 0.250 0.414
```

[6]
This entry pairs a crystal structure of Ni2Rh2Pb with its calculated PXRD pattern. Radiation: Cu Kα, 1.54184 Å. Structure: a GGA-PBE-relaxed structure.
Intensities are scaled so that the largest is 1000.

Peak list (12 most intense, 15° ≤ 2θ ≤ 90°, low angle first)
(2 0 0), 2θ = 26.75°, I 164
(1 1 1), 2θ = 32.19°, I 604
(2 0 1), 2θ = 37.55°, I 697
(2 2 0), 2θ = 38.19°, I 236
(2 1 1), 2θ = 40.00°, I 1000
(3 1 0), 2θ = 42.91°, I 950
(3 1 1), 2θ = 50.78°, I 192
(0 0 2), 2θ = 53.19°, I 247
(4 2 0), 2θ = 62.29°, I 171
(3 3 1), 2θ = 65.28°, I 205
(3 1 2), 2θ = 70.63°, I 430
(5 1 1), 2θ = 78.22°, I 171

```
data_Ni2Rh2Pb
_cell_length_a 6.665
_cell_length_b 6.665
_cell_length_c 3.444
_cell_angle_alpha 90.00
_cell_angle_beta 90.00
_cell_angle_gamma 90.00
_symmetry_space_group_name_H-M 'P 4/m b m'
_symmetry_Int_Tables_number 127
_symmetry_space_group_name_Hall '-P 4 2ab'
loop_
_atom_site_label
_atom_site_type_symbol
_atom_site_fract_x
_atom_site_fract_y
_atom_site_fract_z
Ni1 Ni 0.128 0.372 0.000
Rh1 Rh 0.154 0.654 0.500
Pb1 Pb 0.000 0.000 0.000
```

[7]
This entry pairs a crystal structure of Tb5Sm12Th2 with its calculated PXRD pattern. Radiation: Cu Kα, 1.54184 Å. Structure: a GGA-PBE-relaxed structure.
Intensities are scaled so that the largest is 1000.

Peak list (12 most intense, 15° ≤ 2θ ≤ 90°, low angle first)
(0 2 2), 2θ = 27.91°, I 176
(4 2 0), 2θ = 29.62°, I 183
(2 2 -2), 2θ = 29.81°, I 359
(1 3 1), 2θ = 31.01°, I 360
(4 0 2), 2θ = 31.24°, I 1000
(1 1 -3), 2θ = 32.42°, I 439
(3 3 1), 2θ = 35.19°, I 285
(4 2 -2), 2θ = 35.59°, I 219
(6 0 -4), 2θ = 53.28°, I 112
(3 3 4), 2θ = 54.79°, I 195
(5 5 -1), 2θ = 57.96°, I 157
(1 5 -3), 2θ = 58.68°, I 201

```
data_Tb5Sm12Th2
_cell_length_a 15.773
_cell_length_b 9.374
_cell_length_c 8.753
_cell_angle_alpha 90.00
_cell_angle_beta 92.64
_cell_angle_gamma 90.00
_symmetry_space_group_name_H-M 'C 1 2/m 1'
_symmetry_Int_Tables_number 12
loop_
_symmetry_equiv_pos_as_xyz
'x,y,z'
'-x,-y,-z'
'-x,y,-z'
'x,-y,z'
'x+1/2,y+1/2,z'
'-x+1/2,-y+1/2,-z'
'-x+1/2,y+1/2,-z'
'x+1/2,-y+1/2,z'
loop_
_atom_site_label
_atom_site_type_symbol
_atom_site_fract_x
_atom_site_fract_y
_atom_site_fract_z
Tb1 Tb 0.000 0.000 0.000
Tb2 Tb 0.207 0.500 0.537
Tb3 Tb 0.233 0.000 0.067
Sm1 Sm 0.059 0.500 0.840
Sm2 Sm 0.072 0.000 0.378
Sm3 Sm 0.131 0.303 0.183
Sm4 Sm 0.148 0.179 0.740
Th1 Th 0.000 0.333 0.500
```

[8]
This entry pairs a crystal structure of Pr2Pu2Ir3 with its calculated PXRD pattern. Radiation: Cu Kα, 1.54184 Å. Structure: a GGA-PBE-relaxed structure.
Intensities are scaled so that the largest is 1000.

Peak list (12 most intense, 15° ≤ 2θ ≤ 90°, low angle first)
(2 0 1), 2θ = 21.51°, I 153
(2 0 2), 2θ = 30.69°, I 495
(3 1 -1), 2θ = 32.74°, I 1000
(4 0 -1), 2θ = 33.15°, I 119
(0 0 3), 2θ = 35.34°, I 123
(3 1 -2), 2θ = 37.51°, I 372
(1 1 -3), 2θ = 40.74°, I 534
(0 2 0), 2θ = 41.02°, I 376
(3 1 2), 2θ = 42.32°, I 279
(5 1 1), 2θ = 49.87°, I 116
(2 2 2), 2θ = 52.09°, I 230
(3 3 -1), 2θ = 69.51°, I 128

```
data_Pr2Pu2Ir3
_cell_length_a 11.013
_cell_length_b 4.400
_cell_length_c 7.714
_cell_angle_alpha 90.00
_cell_angle_beta 99.00
_cell_angle_gamma 90.00
_symmetry_space_group_name_H-M 'C 1 2/m 1'
_symmetry_Int_Tables_number 12
loop_
_symmetry_equiv_pos_as_xyz
'x,y,z'
'-x,-y,-z'
'-x,y,-z'
'x,-y,z'
'x+1/2,y+1/2,z'
'-x+1/2,-y+1/2,-z'
'-x+1/2,y+1/2,-z'
'x+1/2,-y+1/2,z'
loop_
_atom_site_label
_atom_site_type_symbol
_atom_site_fract_x
_atom_site_fract_y
_atom_site_fract_z
Pr1 Pr 0.131 0.000 0.357
Pu1 Pu 0.139 0.500 0.929
Ir1 Ir 0.000 0.000 0.000
Ir2 Ir 0.192 0.000 0.741
```

[9]
This entry pairs a crystal structure of Ca3Si2Ir3 with its calculated PXRD pattern. Radiation: Cu Kα, 1.54184 Å. Structure: a GGA-PBE-relaxed structure.
Intensities are scaled so that the largest is 1000.

Peak list (12 most intense, 15° ≤ 2θ ≤ 90°, low angle first)
(1 0 1), 2θ = 19.17°, I 833
(0 4 0), 2θ = 24.93°, I 418
(1 3 1), 2θ = 26.86°, I 938
(2 0 1), 2θ = 27.60°, I 377
(2 3 0), 2θ = 29.56°, I 619
(1 4 1), 2θ = 31.64°, I 444
(1 0 2), 2θ = 33.24°, I 787
(3 0 1), 2θ = 37.90°, I 1000
(1 3 2), 2θ = 38.37°, I 489
(1 4 2), 2θ = 41.99°, I 482
(1 7 1), 2θ = 48.76°, I 473
(2 7 0), 2θ = 50.44°, I 432

```
data_Ca3Si2Ir3
_cell_length_a 7.821
_cell_length_b 14.287
_cell_length_c 5.743
_cell_angle_alpha 90.00
_cell_angle_beta 90.00
_cell_angle_gamma 90.00
_symmetry_space_group_name_H-M 'P n m a'
_symmetry_Int_Tables_number 62
loop_
_symmetry_equiv_pos_as_xyz
'x,y,z'
'-x,-y,-z'
'-x+1/2,-y,z+1/2'
'x+1/2,y,-z+1/2'
'x+1/2,-y+1/2,-z+1/2'
'-x+1/2,y+1/2,z+1/2'
'-x,y+1/2,-z'
'x,-y+1/2,z'
loop_
_atom_site_label
_atom_site_type_symbol
_atom_site_fract_x
_atom_site_fract_y
_atom_site_fract_z
Ca1 Ca 0.027 0.109 0.127
Ca2 Ca 0.176 0.250 0.586
Si1 Si 0.126 0.599 0.375
Ir1 Ir 0.159 0.040 0.614
Ir2 Ir 0.174 0.750 0.554
```

[10]
This entry pairs a crystal structure of Rb2LiTlHg6 with its calculated PXRD pattern. Radiation: Cu Kα, 1.54184 Å. Structure: a GGA-PBE-relaxed structure.
Intensities are scaled so that the largest is 1000.

Peak list (12 most intense, 15° ≤ 2θ ≤ 90°, low angle first)
(2 0 0), 2θ = 15.75°, I 402
(1 1 3), 2θ = 26.26°, I 146
(2 2 2), 2θ = 27.45°, I 1000
(0 4 0), 2θ = 31.77°, I 630
(4 0 0), 2θ = 31.88°, I 312
(3 1 3), 2θ = 34.74°, I 223
(2 4 0), 2θ = 35.65°, I 126
(4 0 4), 2θ = 45.57°, I 445
(4 4 0), 2θ = 45.65°, I 222
(2 6 2), 2θ = 54.00°, I 270
(6 2 2), 2θ = 54.14°, I 134
(4 4 4), 2θ = 56.66°, I 222

```
data_Rb2LiTlHg6
_cell_length_a 11.230
_cell_length_b 11.256
_cell_length_c 11.280
_cell_angle_alpha 90.00
_cell_angle_beta 90.00
_cell_angle_gamma 90.00
_symmetry_space_group_name_H-M 'F m m m'
_symmetry_Int_Tables_number 69
_symmetry_space_group_name_Hall '-F 2 2'
loop_
_atom_site_label
_atom_site_type_symbol
_atom_site_fract_x
_atom_site_fract_y
_atom_site_fract_z
Rb1 Rb 0.250 0.250 0.250
Li1 Li 0.000 0.000 0.000
Tl1 Tl 0.000 0.000 0.500
Hg1 Hg 0.000 0.000 0.231
Hg2 Hg 0.000 0.232 0.000
Hg3 Hg 0.232 0.000 0.000
```

[11]
This entry pairs a crystal structure of Li2AsI4 with its calculated PXRD pattern. Radiation: Cu Kα, 1.54184 Å. Structure: a GGA-PBE-relaxed structure.
Intensities are scaled so that the largest is 1000.

Peak list (12 most intense, 15° ≤ 2θ ≤ 90°, low angle first)
(2 0 0), 2θ = 24.07°, I 419
(1 1 2), 2θ = 26.05°, I 1000
(2 2 0), 2θ = 34.31°, I 336
(0 0 4), 2θ = 39.85°, I 85
(3 1 2), 2θ = 43.58°, I 534
(2 0 4), 2θ = 47.11°, I 229
(4 0 0), 2θ = 49.30°, I 116
(2 2 4), 2θ = 53.58°, I 86
(3 3 2), 2θ = 56.61°, I 156
(5 1 2), 2θ = 67.88°, I 135
(4 2 4), 2θ = 70.57°, I 131
(5 3 2), 2θ = 78.32°, I 98

```
data_Li2AsI4
_cell_length_a 7.393
_cell_length_b 7.393
_cell_length_c 9.045
_cell_angle_alpha 90.00
_cell_angle_beta 90.00
_cell_angle_gamma 90.00
_symmetry_space_group_name_H-M 'I -4 2 m'
_symmetry_Int_Tables_number 121
_symmetry_space_group_name_Hall 'I -4 2'
loop_
_atom_site_label
_atom_site_type_symbol
_atom_site_fract_x
_atom_site_fract_y
_atom_site_fract_z
Li1 Li 0.000 0.500 0.250
As1 As 0.000 0.000 0.000
I1 I 0.242 0.242 0.607
```

[12]
This entry pairs a crystal structure of Al3Si2Ni3 with its calculated PXRD pattern. Radiation: Cu Kα, 1.54184 Å. Structure: a GGA-PBE-relaxed structure.
Intensities are scaled so that the largest is 1000.

Peak list (12 most intense, 15° ≤ 2θ ≤ 90°, low angle first)
(1 0 0), 2θ = 15.21°, I 120
(1 1 0), 2θ = 26.51°, I 473
(2 1 0), 2θ = 41.00°, I 463
(1 1 1), 2θ = 43.68°, I 1000
(2 0 1), 2θ = 46.51°, I 268
(3 0 0), 2θ = 46.79°, I 322
(2 2 0), 2θ = 54.59°, I 80
(3 1 0), 2θ = 57.01°, I 131
(3 1 1), 2θ = 68.11°, I 165
(3 2 1), 2θ = 80.65°, I 131
(4 1 1), 2θ = 84.69°, I 125
(2 1 2), 2θ = 86.09°, I 100

```
data_Al3Si2Ni3
_cell_length_a 6.7250
_cell_length_b 6.7250
_cell_length_c 2.6317
_cell_angle_alpha 90.00
_cell_angle_beta 90.00
_cell_angle_gamma 120.00
_symmetry_space_group_name_H-M 'P -6 2 m'
_symmetry_Int_Tables_number 189
_symmetry_space_group_name_Hall 'P -6 -2'
loop_
_atom_site_label
_atom_site_type_symbol
_atom_site_fract_x
_atom_site_fract_y
_atom_site_fract_z
Al1 Al 0.0000 0.7631 0.0000
Si1 Si 0.3333 0.6667 0.0000
Ni1 Ni 0.0000 0.3841 0.5000
```

[13]
This entry pairs a crystal structure of ZnP2I8 with its calculated PXRD pattern. Radiation: Cu Kα, 1.54184 Å. Structure: a GGA-PBE-relaxed structure.
Intensities are scaled so that the largest is 1000.

Peak list (12 most intense, 15° ≤ 2θ ≤ 90°, low angle first)
(0 1 -3), 2θ = 22.29°, I 221
(1 0 -2), 2θ = 23.86°, I 1000
(0 2 2), 2θ = 24.57°, I 538
(1 2 0), 2θ = 26.76°, I 616
(0 2 -2), 2θ = 26.99°, I 230
(1 1 3), 2θ = 27.03°, I 240
(1 -1 1), 2θ = 27.20°, I 333
(0 1 5), 2θ = 30.91°, I 340
(1 -2 0), 2θ = 34.83°, I 207
(1 2 -4), 2θ = 37.75°, I 231
(-1 2 4), 2θ = 40.93°, I 196
(0 3 -5), 2θ = 49.07°, I 152

```
data_ZnP2I8
_cell_length_a 4.426
_cell_length_b 8.106
_cell_length_c 14.991
_cell_angle_alpha 83.53
_cell_angle_beta 89.11
_cell_angle_gamma 75.35
_symmetry_space_group_name_H-M 'P -1'
_symmetry_Int_Tables_number 2
loop_
_symmetry_equiv_pos_as_xyz
'x,y,z'
'-x,-y,-z'
loop_
_atom_site_label
_atom_site_type_symbol
_atom_site_fract_x
_atom_site_fract_y
_atom_site_fract_z
Zn1 Zn 0.000 0.000 0.000
P1 P 0.377 0.759 0.275
I1 I 0.076 0.988 0.779
I2 I 0.151 0.504 0.277
I3 I 0.398 0.796 0.436
I4 I 0.474 0.751 0.020
```